[1]
Simulated X-ray powder pattern of Re3Br10N for a wavelength of 1.5418 Å, from DFT lattice parameters and positions (PBE).
Kinematic intensities with the Lorentz-polarization factor, no thermal factor.

Principal peaks in the range 15 to 90 degrees two-theta, in order of rising 2θ:
Position (°2θ)  Rel. int.
30.29  100
32.95  33
33.68  30
35.73  39
39.25  29
41.33  37

Lattice parameters (Å, degrees): 9.212 9.212 10.421 92.16 92.16 73.39
Fractional coordinates of all 28 atoms:
Re  0.086  0.311  0.370
Re  0.263  0.263  0.188
Re  0.311  0.086  0.370
Re  0.689  0.914  0.630
Re  0.737  0.737  0.812
Re  0.914  0.689  0.630
Br  0.031  0.496  0.187
Br  0.112  0.798  0.710
Br  0.129  0.129  0.036
Br  0.140  0.140  0.563
Br  0.179  0.502  0.506
Br  0.202  0.888  0.290
Br  0.344  0.344  0.960
Br  0.424  0.424  0.258
Br  0.496  0.031  0.187
Br  0.498  0.821  0.494
Br  0.502  0.179  0.506
Br  0.504  0.969  0.813
Br  0.576  0.576  0.742
Br  0.656  0.656  0.040
Br  0.798  0.112  0.710
Br  0.821  0.498  0.494
Br  0.860  0.860  0.437
Br  0.871  0.871  0.964
Br  0.888  0.202  0.290
Br  0.969  0.504  0.813
N  0.291  0.709  0.000
N  0.709  0.291  0.000

[2]
Simulated X-ray powder pattern of ZnRu2Br7N6 for a wavelength of 1.5418 Å, from DFT lattice parameters and positions (PBE).
Kinematic intensities with the Lorentz-polarization factor, no thermal factor.

Principal peaks in the range 15 to 90 degrees two-theta, in order of rising 2θ:
Position (°2θ)  Rel. int.
16.10  29
17.03  100
20.60  42
28.46  30
30.50  41
43.80  29

Lattice parameters (Å, degrees): 7.746 10.390 10.682 90.00 94.40 90.00
Fractional coordinates of all 32 atoms:
Zn  0.242  0.250  0.026
Zn  0.758  0.750  0.974
Ru  0.144  0.750  0.654
Ru  0.285  0.750  0.327
Ru  0.715  0.250  0.673
Ru  0.856  0.250  0.346
Br  0.034  0.250  0.604
Br  0.072  0.750  0.031
Br  0.278  0.250  0.253
Br  0.324  0.579  0.533
Br  0.324  0.921  0.533
Br  0.362  0.062  0.921
Br  0.362  0.438  0.921
Br  0.638  0.562  0.079
Br  0.638  0.938  0.079
Br  0.676  0.079  0.467
Br  0.676  0.421  0.467
Br  0.722  0.750  0.747
Br  0.928  0.250  0.969
Br  0.966  0.750  0.396
N  0.017  0.122  0.329
N  0.017  0.378  0.329
N  0.247  0.620  0.223
N  0.247  0.880  0.223
N  0.266  0.750  0.794
N  0.483  0.250  0.635
N  0.517  0.750  0.365
N  0.734  0.250  0.206
N  0.753  0.120  0.777
N  0.753  0.380  0.777
N  0.983  0.622  0.671
N  0.983  0.878  0.671

[3]
Simulated X-ray powder pattern of VS2Br2N3 for a wavelength of 1.5418 Å, from DFT lattice parameters and positions (PBE).
Kinematic intensities with the Lorentz-polarization factor, no thermal factor.

Principal peaks in the range 15 to 90 degrees two-theta, in order of rising 2θ:
Position (°2θ)  Rel. int.
15.92  61
23.79  55
29.27  100
31.12  65
31.50  50
33.26  47

Lattice parameters (Å, degrees): 6.057 7.868 8.307 87.87 80.34 71.96
Fractional coordinates of all 16 atoms:
V  0.241  0.497  0.365
V  0.759  0.503  0.635
S  0.213  0.209  0.702
S  0.222  0.766  0.082
S  0.778  0.234  0.918
S  0.787  0.791  0.298
Br  0.264  0.222  0.231
Br  0.337  0.701  0.563
Br  0.663  0.299  0.437
Br  0.736  0.778  0.769
N  0.055  0.150  0.852
N  0.071  0.375  0.606
N  0.334  0.606  0.194
N  0.666  0.394  0.806
N  0.929  0.625  0.394
N  0.945  0.850  0.148

[4]
Simulated X-ray powder pattern of SeBr6N2 for a wavelength of 1.5418 Å, from DFT lattice parameters and positions (PBE).
Kinematic intensities with the Lorentz-polarization factor, no thermal factor.

Principal peaks in the range 15 to 90 degrees two-theta, in order of rising 2θ:
Position (°2θ)  Rel. int.
17.24  69
30.09  100
34.88  92
39.15  35
50.15  63
59.60  39

Lattice parameters (Å, degrees): 7.276 7.276 7.276 60.00 60.00 60.00
Fractional coordinates of all 9 atoms:
Se  0.000  0.000  0.000
Br  0.250  0.250  0.750
Br  0.250  0.750  0.250
Br  0.250  0.750  0.750
Br  0.750  0.250  0.250
Br  0.750  0.250  0.750
Br  0.750  0.750  0.250
N  0.250  0.250  0.250
N  0.750  0.750  0.750